1.
Simulated powder diffraction line list
Compound: YTm3Rh
Radiation: a wavelength of 1.5418 Å
Structure: a crystal structure in Alexandria, relaxed with GGA-PBE
Lines closer than 0.1° are merged.

```
data_YTm3Rh
_chemical_formula_sum 'Y2 Tm6 Rh2'
_cell_length_a 7.4550
_cell_length_b 6.4631
_cell_length_c 6.0723
_cell_angle_alpha 90.00
_cell_angle_beta 90.00
_cell_angle_gamma 90.00
_symmetry_space_group_name_H-M 'P m n 21'
_symmetry_Int_Tables_number 31
loop_
_symmetry_equiv_pos_as_xyz
'x,y,z'
'-x+1/2,-y,z+1/2'
'-x,y,z'
'x+1/2,-y,z+1/2'
loop_
_atom_site_label
_atom_site_type_symbol
_atom_site_fract_x
_atom_site_fract_y
_atom_site_fract_z
Y1 Y 0.0000 0.1482 0.0000
Tm1 Tm 0.0000 0.8490 0.4863
Tm2 Tm 0.2494 0.3141 0.4939
Rh1 Rh 0.0000 0.5049 0.7415
```

Most intense lines, 10° ≤ 2θ ≤ 80°, in order of rising 2θ:
| (hkl) | 2θ/deg | d_spacing | Rel. int. |
| --- | --- | --- | --- |
| 1 1 1 | 23.4 | 3.805 | 8 |
| 0 2 0 | 27.6 | 3.230 | 9 |
| 0 0 2 | 29.4 | 3.036 | 18 |
| 2 1 1 | 31.4 | 2.852 | 100 |
| 0 2 2 | 40.8 | 2.212 | 30 |
| 4 0 0 | 48.8 | 1.865 | 26 |
| 2 1 3 | 53.4 | 1.715 | 23 |
| 4 0 2 | 58.0 | 1.589 | 15 |
| 0 4 1 | 59.2 | 1.561 | 15 |
| 0 4 3 | 75.3 | 1.262 | 7 |


2.
Simulated powder diffraction line list
Compound: Na3ErO3
Radiation: a wavelength of 1.5418 Å
Structure: a crystal structure in Alexandria, relaxed with GGA-PBE
Lines closer than 0.1° are merged.

```
data_Na3ErO3
_chemical_formula_sum 'Na12 Er4 O12'
_cell_length_a 6.6443
_cell_length_b 6.9616
_cell_length_c 9.9486
_cell_angle_alpha 90.00
_cell_angle_beta 90.00
_cell_angle_gamma 90.00
_symmetry_space_group_name_H-M 'I m m a'
_symmetry_Int_Tables_number 74
_symmetry_space_group_name_Hall '-I 2b 2'
loop_
_atom_site_label
_atom_site_type_symbol
_atom_site_fract_x
_atom_site_fract_y
_atom_site_fract_z
Na1 Na 0.0000 0.2500 0.2222
Na2 Na 0.2223 0.0000 0.0000
Er1 Er 0.0000 0.2500 0.7821
O1 O 0.0000 0.2500 0.9905
O2 O 0.2500 0.0328 0.7500
```

Most intense lines, 10° ≤ 2θ ≤ 80°, in order of rising 2θ:
| (hkl) | 2θ/deg | d_spacing | Rel. int. |
| --- | --- | --- | --- |
| 0 1 1 | 15.5 | 5.704 | 100 |
| 1 0 1 | 16.0 | 5.525 | 19 |
| 0 0 2 | 17.8 | 4.974 | 36 |
| 2 1 1 | 31.2 | 2.871 | 31 |
| 0 2 2 | 31.4 | 2.852 | 27 |
| 2 0 2 | 32.4 | 2.763 | 23 |
| 0 0 4 | 36.1 | 2.487 | 16 |
| 2 2 0 | 37.4 | 2.403 | 43 |
| 2 2 2 | 41.7 | 2.164 | 17 |
| 2 2 4 | 53.0 | 1.728 | 19 |